# 1
Diffraction record for Be2TlIn2O6. The powder diffractogram is simulated, not measured: it uses a structure optimized by DFT (GGA-PBE) and Cu Ka.
Peak positions follow from Bragg's law for the DFT cell and can differ from measured ones.

Structure:
```
data_Be2TlIn2O6
_symmetry_space_group_name_H-M 'P -3'
_symmetry_Int_Tables_number 147
_cell_length_a 5.4536
_cell_length_b 5.4536
_cell_length_c 5.8355
_cell_angle_alpha 90.00
_cell_angle_beta 90.00
_cell_angle_gamma 120.00
loop_
_symmetry_equiv_pos_as_xyz
'x,y,z'
'-x,-y,-z'
'-y,x-y,z'
'y,-x+y,-z'
'-x+y,-x,z'
'x-y,x,-z'
loop_
_atom_site_label
_atom_site_fract_x
_atom_site_fract_y
_atom_site_fract_z
Be1 0.3333 0.6667 0.2953
Tl1 0.0000 0.0000 0.5000
In1 0.3333 0.6667 0.8722
O1 0.0531 0.6632 0.2427
```

Main lines, by angle (10° ≤ 2θ ≤ 90°):
2theta	I (rel.)	index
24.2	1000	0 1 1
32.8	411	1 1 0
36.2	357	1 0 2
41.2	280	2 0 1
45.5	101	1 1 2
49.7	129	0 2 2
53.7	254	1 2 1
58.3	131	1 1 3
58.6	119	3 0 0
60.8	146	3 -1 2

=====

# 2
Diffraction record for Be4InP. The powder diffractogram is simulated, not measured: it uses a structure optimized by DFT (GGA-PBE) and Cu Ka.
Peak positions follow from Bragg's law for the DFT cell and can differ from measured ones.

Structure:
```
data_Be4InP
_symmetry_space_group_name_H-M 'F -4 3 m'
_symmetry_Int_Tables_number 216
_symmetry_space_group_name_Hall 'F -4 2 3'
_cell_length_a 6.635
_cell_length_b 6.635
_cell_length_c 6.635
_cell_angle_alpha 90.00
_cell_angle_beta 90.00
_cell_angle_gamma 90.00
loop_
_atom_site_label
_atom_site_fract_x
_atom_site_fract_y
_atom_site_fract_z
Be1 0.124 0.124 0.376
In1 0.000 0.000 0.000
P1 0.250 0.250 0.750
```

Main lines, by angle (10° ≤ 2θ ≤ 90°):
2theta	I (rel.)	index
23.2	1000	1 1 1
26.9	320	2 0 0
38.4	735	2 2 0
45.3	713	3 1 1
60.9	207	3 3 1
62.6	116	4 2 0
69.4	242	4 2 2
74.3	213	5 1 1
82.2	105	4 4 0
86.8	152	5 3 1

=====

# 3
Diffraction record for Be2InPd7. The powder diffractogram is simulated, not measured: it uses a structure optimized by DFT (GGA-PBE) and Cu Ka.
Peak positions follow from Bragg's law for the DFT cell and can differ from measured ones.

Structure:
```
data_Be2InPd7
_symmetry_space_group_name_H-M 'C m m m'
_symmetry_Int_Tables_number 65
_symmetry_space_group_name_Hall '-C 2 2'
_cell_length_a 7.223
_cell_length_b 10.940
_cell_length_c 4.151
_cell_angle_alpha 90.00
_cell_angle_beta 90.00
_cell_angle_gamma 90.00
loop_
_atom_site_label
_atom_site_fract_x
_atom_site_fract_y
_atom_site_fract_z
Be1 0.000 0.212 0.000
In1 0.000 0.500 0.500
Pd1 0.000 0.000 0.000
Pd2 0.000 0.172 0.500
Pd3 0.190 0.371 0.000
```

Main lines, by angle (10° ≤ 2θ ≤ 90°):
2theta	I (rel.)	index
32.9	544	2 0 1
35.0	1000	1 3 1
38.3	169	3 1 0
41.4	221	2 4 0
43.6	344	0 0 2
44.3	262	3 1 1
45.1	222	3 3 0
47.1	217	2 4 1
64.6	149	3 3 2
74.2	206	5 3 1

=====

# 4
Diffraction record for PmBe2InPd5. The powder diffractogram is simulated, not measured: it uses a structure optimized by DFT (GGA-PBE) and Cu Ka.
Peak positions follow from Bragg's law for the DFT cell and can differ from measured ones.

Structure:
```
data_PmBe2InPd5
_symmetry_space_group_name_H-M 'P 4/m m m'
_symmetry_Int_Tables_number 123
_symmetry_space_group_name_Hall '-P 4 2'
_cell_length_a 4.223
_cell_length_b 4.223
_cell_length_c 8.219
_cell_angle_alpha 90.00
_cell_angle_beta 90.00
_cell_angle_gamma 90.00
loop_
_atom_site_label
_atom_site_fract_x
_atom_site_fract_y
_atom_site_fract_z
Pm1 0.000 0.000 0.000
Be1 0.500 0.500 0.352
In1 0.000 0.000 0.500
Pd1 0.000 0.500 0.262
Pd2 0.500 0.500 0.000
```

Main lines, by angle (10° ≤ 2θ ≤ 90°):
2theta	I (rel.)	index
10.8	71	0 0 1
30.4	69	1 0 2
37.2	1000	1 1 2
42.8	352	2 0 0
44.1	147	0 0 4
62.2	114	2 2 0
63.1	197	2 0 4
74.8	251	3 1 2
76.5	111	1 1 6
79.3	101	2 2 4

=====

# 5
Diffraction record for Tm2Be2InPd5. The powder diffractogram is simulated, not measured: it uses a structure optimized by DFT (GGA-PBE) and Cu Ka.
Peak positions follow from Bragg's law for the DFT cell and can differ from measured ones.

Structure:
```
data_Tm2Be2InPd5
_symmetry_space_group_name_H-M 'P 4/m b m'
_symmetry_Int_Tables_number 127
_symmetry_space_group_name_Hall '-P 4 2ab'
_cell_length_a 9.676
_cell_length_b 9.676
_cell_length_c 3.483
_cell_angle_alpha 90.00
_cell_angle_beta 90.00
_cell_angle_gamma 90.00
loop_
_atom_site_label
_atom_site_fract_x
_atom_site_fract_y
_atom_site_fract_z
Tm1 0.177 0.323 0.000
Be1 0.118 0.618 0.000
In1 0.000 0.000 0.000
Pd1 0.000 0.500 0.500
Pd2 0.070 0.780 0.500
```

Main lines, by angle (10° ≤ 2θ ≤ 90°):
2theta	I (rel.)	index
33.0	927	2 1 1
36.8	404	2 2 1
38.4	759	4 1 0
39.2	1000	3 1 1
41.7	320	4 2 0
42.5	276	3 2 1
52.5	240	0 0 2
63.6	188	6 0 1
66.9	293	4 1 2
67.6	188	5 4 1

=====

# 6
Diffraction record for Pm2BeInPt6. The powder diffractogram is simulated, not measured: it uses a structure optimized by DFT (GGA-PBE) and Cu Ka.
Peak positions follow from Bragg's law for the DFT cell and can differ from measured ones.

Structure:
```
data_Pm2BeInPt6
_symmetry_space_group_name_H-M 'P -1'
_symmetry_Int_Tables_number 2
_cell_length_a 5.759
_cell_length_b 5.791
_cell_length_c 7.569
_cell_angle_alpha 89.29
_cell_angle_beta 67.67
_cell_angle_gamma 60.19
loop_
_symmetry_equiv_pos_as_xyz
'x,y,z'
'-x,-y,-z'
loop_
_atom_site_label
_atom_site_fract_x
_atom_site_fract_y
_atom_site_fract_z
Pm1 0.045 0.236 0.173
Be1 0.500 0.000 0.500
In1 0.500 0.500 0.000
Pt1 0.035 0.223 0.697
Pt2 0.434 0.305 0.325
Pt3 0.451 0.778 0.304
```

Main lines, by angle (10° ≤ 2θ ≤ 90°):
2theta	I (rel.)	index
26.1	572	0 0 2
28.0	218	1 0 -1
33.8	195	1 2 -1
35.7	314	1 0 3
36.7	441	0 2 0
37.1	1000	2 0 2
40.0	839	2 2 2
40.3	494	0 2 -2
51.3	188	2 0 4
64.4	272	2 4 0

=====

# 7
Diffraction record for Pr2BeInPt6. The powder diffractogram is simulated, not measured: it uses a structure optimized by DFT (GGA-PBE) and Cu Ka.
Peak positions follow from Bragg's law for the DFT cell and can differ from measured ones.

Structure:
```
data_Pr2BeInPt6
_symmetry_space_group_name_H-M 'C 1 2/m 1'
_symmetry_Int_Tables_number 12
_cell_length_a 10.094
_cell_length_b 5.830
_cell_length_c 7.593
_cell_angle_alpha 90.00
_cell_angle_beta 116.26
_cell_angle_gamma 90.00
loop_
_symmetry_equiv_pos_as_xyz
'x,y,z'
'-x,-y,-z'
'-x,y,-z'
'x,-y,z'
'x+1/2,y+1/2,z'
'-x+1/2,-y+1/2,-z'
'-x+1/2,y+1/2,-z'
'x+1/2,-y+1/2,z'
loop_
_atom_site_label
_atom_site_fract_x
_atom_site_fract_y
_atom_site_fract_z
Pr1 0.224 0.000 0.171
Be1 0.000 0.000 0.500
In1 0.000 0.500 0.000
Pt1 0.025 0.260 0.313
Pt2 0.235 0.000 0.688
```

Main lines, by angle (10° ≤ 2θ ≤ 90°):
2theta	I (rel.)	index
26.2	360	0 0 2
28.1	188	2 0 1
33.4	252	0 2 1
35.5	286	2 0 -3
36.7	1000	4 0 -2
39.8	910	2 2 -2
42.1	161	2 2 1
57.7	194	4 2 1
63.9	303	0 4 0
77.9	198	4 4 0

=====

# 8
Diffraction record for Be2InRh. The powder diffractogram is simulated, not measured: it uses a structure optimized by DFT (GGA-PBE) and Cu Ka.
Peak positions follow from Bragg's law for the DFT cell and can differ from measured ones.

Structure:
```
data_Be2InRh
_symmetry_space_group_name_H-M 'I m m m'
_symmetry_Int_Tables_number 71
_symmetry_space_group_name_Hall '-I 2 2'
_cell_length_a 3.779
_cell_length_b 3.789
_cell_length_c 7.329
_cell_angle_alpha 90.00
_cell_angle_beta 90.00
_cell_angle_gamma 90.00
loop_
_atom_site_label
_atom_site_fract_x
_atom_site_fract_y
_atom_site_fract_z
Be1 0.000 0.000 0.250
In1 0.000 0.500 0.000
Rh1 0.000 0.500 0.500
```

Main lines, by angle (10° ≤ 2θ ≤ 90°):
2theta	I (rel.)	index
24.3	851	0 0 2
33.5	750	1 1 0
41.8	1000	1 1 2
48.0	165	0 2 0
48.2	164	2 0 0
49.8	149	0 0 4
54.5	182	0 2 2
54.7	181	2 0 2
61.3	253	1 1 4
75.7	134	2 2 2